Diffraction record for Ca2TaMnO6. The X-ray diffraction stick pattern is calculated, not measured: it uses a structure optimized by DFT (GGA+U) and Cu Ka.
Peak positions follow from Bragg's law for the DFT cell and can differ from measured ones.

Peak list (6 most intense, 2θ = 10–90°, in order of rising 2θ)
2theta  I/Imax  (hkl)
15.47  52  0 0 1
21.60  51  1 0 -1
23.12  85  1 0 1
31.23  51  0 0 2
31.82  100  1 2 -1
32.93  90  1 2 1

Structure:
Lattice parameters (Å, degrees): 5.5211 7.7059 5.7421 90.00 93.95 90.00
Sites, in units of the cell vectors:
1 Ca 0.0060 0.2500 0.4338
2 Ca 0.4820 0.2500 0.9524
3 Ca 0.5180 0.7500 0.0476
4 Ca 0.9940 0.7500 0.5662
5 Ta 0.5000 0.0000 0.5000
6 Ta 0.5000 0.5000 0.5000
7 Mn 0.0000 0.0000 0.0000
8 Mn 0.0000 0.5000 0.0000
9 O 0.0950 0.7500 0.9721
10 O 0.2192 0.0486 0.6852
11 O 0.2192 0.4514 0.6852
12 O 0.2980 0.0484 0.2029
13 O 0.2980 0.4516 0.2029
14 O 0.4021 0.7500 0.4716
15 O 0.5979 0.2500 0.5284
16 O 0.7020 0.5484 0.7971
17 O 0.7020 0.9516 0.7971
18 O 0.7808 0.5486 0.3148
19 O 0.7808 0.9514 0.3148
20 O 0.9050 0.2500 0.0279